(1)
The following is a calculated powder X-ray diffraction pattern of Er4Cd2InAu. It was derived from DFT lattice parameters and positions (GGA-PBE), using copper Kα.
Intensities are scaled so that the largest is 100.

Largest 10 diffraction maxima, sorted by position, 2θ = 10–80°:
Position (°2θ)  intensity
10.5  4
34.4  100
34.6  95
47.5  4
49.6  34
61.7  54
62.0  15
65.9  3
72.6  11
72.9  10

Atomic structure:
Cell lengths 8.975, 8.975, 8.975 Å; angles 33.74, 33.74, 33.74 degrees
Element x y z (fractional)
Er 0.120 0.120 0.120
Er 0.371 0.371 0.371
Er 0.629 0.629 0.629
Er 0.880 0.880 0.880
Cd 0.246 0.246 0.246
Cd 0.754 0.754 0.754
In 0.500 0.500 0.500
Au 0.000 0.000 0.000

***

(2)
The following is a calculated powder X-ray diffraction pattern of Ba2Na2N. It was derived from DFT lattice parameters and positions (GGA-PBE), using copper Kα.
Intensities are scaled so that the largest is 100.

Largest 10 diffraction maxima, sorted by position, 2θ = 10–80°:
Position (°2θ)  intensity
23.4  71
24.9  99
26.8  100
27.8  41
29.1  32
31.1  86
39.7  53
44.7  37
52.6  30
53.2  34

Atomic structure:
Cell lengths 25.792, 25.792, 25.792 Å; angles 170.91, 170.91, 12.87 degrees
Element x y z (fractional)
Ba 0.095 0.345 0.750
Ba 0.345 0.095 0.250
Ba 0.655 0.905 0.750
Ba 0.905 0.655 0.250
Na 0.221 0.471 0.750
Na 0.471 0.221 0.250
Na 0.529 0.779 0.750
Na 0.779 0.529 0.250
N 0.125 0.875 0.250
N 0.875 0.125 0.750

***

(3)
The following is a calculated powder X-ray diffraction pattern of Mg2BHPd6. It was derived from DFT lattice parameters and positions (GGA-PBE), using copper Kα.
Intensities are scaled so that the largest is 100.

Largest 10 diffraction maxima, sorted by position, 2θ = 10–80°:
Position (°2θ)  intensity
21.7  42
30.9  22
38.0  100
38.1  99
44.2  68
44.3  34
49.8  14
64.4  43
77.1  24
77.4  48

Atomic structure:
Cell lengths 5.788, 5.788, 5.788 Å; angles 120.09, 119.76, 90.13 degrees
Element x y z (fractional)
Mg 0.250 0.250 0.000
Mg 0.750 0.750 0.000
B 0.500 0.000 0.500
H 0.000 0.500 0.500
Pd 0.246 0.253 0.499
Pd 0.246 0.746 0.500
Pd 0.246 0.747 0.993
Pd 0.754 0.253 0.007
Pd 0.754 0.254 0.500
Pd 0.754 0.747 0.501